This entry pairs a crystal structure of PuMnP2O8 with its theoretical XRD peak list. Radiation: CuKα. Structure: a structure optimized by DFT (GGA+U).

Most intense lines, 2θ = 10–80°, by angle:
2theta, I (rel.)
13.17, 40
20.48, 100
24.42, 60
33.73, 78
35.86, 46
38.36, 34
45.15, 34
50.05, 33
63.09, 27
67.05, 17

Cell and atoms:
```
PuMnP2O8
1.0
5.008 0.000 0.000
-2.504 4.337 0.000
0.000 0.000 6.724
Pu Mn P O
1 1 2 8
Direct
0.000 0.000 0.000
0.000 0.000 0.500
0.333 0.667 0.757
0.667 0.333 0.243
0.102 0.334 0.690
0.232 0.898 0.690
0.333 0.667 0.986
0.334 0.232 0.310
0.666 0.768 0.690
0.667 0.333 0.014
0.768 0.102 0.310
0.898 0.666 0.310
```